1.
Structure and theoretical X-ray powder pattern of Nd2Zn5Au12 (the PBE geometry in Alexandria; Cu Kα X-rays).

Most intense lines, 2θ from 15° to 90°, most intense first:
d = 2.355 Å, 38.21°, rel. 100
d = 2.105 Å, 42.97°, rel. 61
d = 2.683 Å, 33.40°, rel. 37
d = 2.381 Å, 37.78°, rel. 34
d = 4.693 Å, 18.91°, rel. 32
d = 2.347 Å, 38.36°, rel. 25
d = 2.710 Å, 33.06°, rel. 25
d = 2.124 Å, 42.57°, rel. 18
d = 1.355 Å, 69.36°, rel. 18
d = 1.486 Å, 62.49°, rel. 17
d = 1.370 Å, 68.50°, rel. 16
d = 1.178 Å, 81.79°, rel. 15

Atomic structure:
Lattice parameters (Å, degrees): 7.215 7.215 7.215 81.16 81.16 81.16
Element x y z (fractional)
1 Nd 0.148 0.148 0.148
2 Nd 0.852 0.852 0.852
3 Zn 0.000 0.500 0.500
4 Zn 0.403 0.403 0.403
5 Zn 0.500 0.000 0.500
6 Zn 0.500 0.500 0.000
7 Zn 0.597 0.597 0.597
8 Au 0.159 0.159 0.636
9 Au 0.159 0.636 0.159
10 Au 0.195 0.500 0.805
11 Au 0.195 0.805 0.500
12 Au 0.364 0.841 0.841
13 Au 0.500 0.195 0.805
14 Au 0.500 0.805 0.195
15 Au 0.636 0.159 0.159
16 Au 0.805 0.195 0.500
17 Au 0.805 0.500 0.195
18 Au 0.841 0.364 0.841
19 Au 0.841 0.841 0.364

---

2.
Structure and theoretical X-ray powder pattern of NdZn5Au7 (the PBE geometry in Alexandria; Cu Kα X-rays).

Most intense lines, 2θ from 15° to 90°, most intense first:
d = 2.339 Å, 38.49°, rel. 100
d = 2.075 Å, 43.62°, rel. 82
d = 2.715 Å, 32.99°, rel. 82
d = 2.669 Å, 33.57°, rel. 66
d = 2.319 Å, 38.84°, rel. 60
d = 1.335 Å, 70.53°, rel. 51
d = 1.357 Å, 69.22°, rel. 41
d = 2.660 Å, 33.70°, rel. 39
d = 2.301 Å, 39.15°, rel. 38
d = 2.104 Å, 42.98°, rel. 37
d = 3.300 Å, 27.02°, rel. 36
d = 2.062 Å, 43.90°, rel. 33

Atomic structure:
Lattice parameters (Å, degrees): 7.119 7.119 7.119 135.95 96.71 99.46
Element x y z (fractional)
1 Nd 0.000 0.000 0.000
2 Zn 0.487 0.489 0.502
3 Zn 0.487 0.985 0.998
4 Zn 0.756 0.256 0.500
5 Zn 0.987 0.489 0.002
6 Zn 0.987 0.985 0.498
7 Au 0.174 0.480 0.694
8 Au 0.220 0.720 0.500
9 Au 0.336 0.996 0.340
10 Au 0.343 0.343 0.000
11 Au 0.656 0.996 0.660
12 Au 0.666 0.666 0.000
13 Au 0.786 0.480 0.306

---

3.
Structure and theoretical X-ray powder pattern of NdZnAu2 (the PBE geometry in Alexandria; Cu Kα X-rays).

Most intense lines, 2θ from 15° to 90°, most intense first:
d = 2.580 Å, 34.77°, rel. 100
d = 2.702 Å, 33.15°, rel. 98
d = 2.328 Å, 38.68°, rel. 59
d = 2.175 Å, 41.51°, rel. 42
d = 3.104 Å, 28.76°, rel. 39
d = 1.388 Å, 67.46°, rel. 28
d = 2.431 Å, 36.98°, rel. 26
d = 2.046 Å, 44.26°, rel. 23
d = 1.734 Å, 52.81°, rel. 19
d = 2.129 Å, 42.45°, rel. 18
d = 1.681 Å, 54.58°, rel. 17
d = 2.592 Å, 34.60°, rel. 15

Atomic structure:
Lattice parameters (Å, degrees): 7.006 4.656 10.369 90.00 90.00 90.00
Element x y z (fractional)
1 Nd 0.247 0.250 0.159
2 Nd 0.253 0.750 0.659
3 Nd 0.747 0.250 0.341
4 Nd 0.753 0.750 0.841
5 Zn 0.072 0.250 0.867
6 Zn 0.428 0.750 0.367
7 Zn 0.572 0.250 0.633
8 Zn 0.928 0.750 0.133
9 Au 0.048 0.750 0.372
10 Au 0.216 0.750 0.957
11 Au 0.284 0.250 0.457
12 Au 0.452 0.250 0.872
13 Au 0.548 0.750 0.128
14 Au 0.716 0.750 0.543
15 Au 0.784 0.250 0.043
16 Au 0.952 0.250 0.628

---

4.
Structure and theoretical X-ray powder pattern of Nd4Zn3Au (the PBE geometry in Alexandria; Cu Kα X-rays).

Most intense lines, 2θ from 15° to 90°, most intense first:
d = 2.603 Å, 34.45°, rel. 100
d = 2.628 Å, 34.12°, rel. 51
d = 1.512 Å, 61.29°, rel. 37
d = 1.858 Å, 49.02°, rel. 18
d = 1.498 Å, 61.94°, rel. 18
d = 1.302 Å, 72.65°, rel. 11
d = 1.823 Å, 50.02°, rel. 9
d = 1.175 Å, 81.98°, rel. 8
d = 1.173 Å, 82.18°, rel. 8
d = 1.155 Å, 83.71°, rel. 8
d = 1.314 Å, 71.85°, rel. 6
d = 3.717 Å, 23.94°, rel. 4

Atomic structure:
Lattice parameters (Å, degrees): 3.717 3.717 14.587 90.00 90.00 90.00
Element x y z (fractional)
1 Nd 0.000 0.000 0.125
2 Nd 0.000 0.000 0.373
3 Nd 0.000 0.000 0.627
4 Nd 0.000 0.000 0.875
5 Zn 0.500 0.500 0.000
6 Zn 0.500 0.500 0.245
7 Zn 0.500 0.500 0.755
8 Au 0.500 0.500 0.500

---

5.
Structure and theoretical X-ray powder pattern of Nd3ZnAu2 (the PBE geometry in Alexandria; Cu Kα X-rays).

Most intense lines, 2θ from 15° to 90°, most intense first:
d = 2.616 Å, 34.28°, rel. 100
d = 2.636 Å, 34.01°, rel. 99
d = 1.514 Å, 61.22°, rel. 36
d = 1.857 Å, 49.06°, rel. 35
d = 1.510 Å, 61.39°, rel. 19
d = 1.526 Å, 60.70°, rel. 19
d = 1.177 Å, 81.84°, rel. 16
d = 1.172 Å, 82.30°, rel. 16
d = 1.308 Å, 72.23°, rel. 12
d = 1.318 Å, 71.60°, rel. 11
d = 4.277 Å, 20.77°, rel. 9
d = 2.036 Å, 44.51°, rel. 3

Atomic structure:
Lattice parameters (Å, degrees): 5.232 5.232 12.964 90.00 90.00 120.00
Element x y z (fractional)
1 Nd 0.000 0.000 0.249
2 Nd 0.000 0.000 0.751
3 Nd 0.333 0.667 0.420
4 Nd 0.333 0.667 0.919
5 Nd 0.667 0.333 0.081
6 Nd 0.667 0.333 0.580
7 Zn 0.333 0.667 0.671
8 Zn 0.667 0.333 0.329
9 Au 0.000 0.000 0.000
10 Au 0.000 0.000 0.500
11 Au 0.333 0.667 0.181
12 Au 0.667 0.333 0.819

---

6.
Structure and theoretical X-ray powder pattern of Nd2Zn5Au4 (the PBE geometry in Alexandria; Cu Kα X-rays).

Most intense lines, 2θ from 15° to 90°, most intense first:
d = 2.452 Å, 36.64°, rel. 100
d = 2.321 Å, 38.81°, rel. 88
d = 2.679 Å, 33.45°, rel. 69
d = 4.307 Å, 20.62°, rel. 65
d = 2.153 Å, 41.96°, rel. 42
d = 2.131 Å, 42.41°, rel. 41
d = 1.356 Å, 69.28°, rel. 40
d = 1.823 Å, 50.05°, rel. 36
d = 2.755 Å, 32.50°, rel. 32
d = 1.525 Å, 60.72°, rel. 23
d = 1.148 Å, 84.41°, rel. 23
d = 1.465 Å, 63.50°, rel. 20

Atomic structure:
Lattice parameters (Å, degrees): 9.800 9.043 5.425 81.10 65.74 33.16
Element x y z (fractional)
1 Nd 0.129 0.129 0.871
2 Nd 0.871 0.871 0.129
3 Zn 0.000 0.000 0.500
4 Zn 0.250 0.250 0.250
5 Zn 0.500 0.500 0.000
6 Zn 0.500 0.500 0.500
7 Zn 0.750 0.750 0.750
8 Au 0.211 0.529 0.471
9 Au 0.471 0.789 0.211
10 Au 0.529 0.211 0.789
11 Au 0.789 0.471 0.529

---

7.
Structure and theoretical X-ray powder pattern of NdZn7Au12 (the PBE geometry in Alexandria; Cu Kα X-rays).

Most intense lines, 2θ from 15° to 90°, most intense first:
d = 2.559 Å, 35.07°, rel. 100
d = 3.027 Å, 29.50°, rel. 97
d = 1.642 Å, 56.01°, rel. 65
d = 2.141 Å, 42.21°, rel. 58
d = 1.954 Å, 46.47°, rel. 50
d = 2.393 Å, 37.58°, rel. 31
d = 1.216 Å, 78.70°, rel. 28
d = 2.764 Å, 32.39°, rel. 27
d = 1.553 Å, 59.52°, rel. 27
d = 3.908 Å, 22.75°, rel. 26
d = 1.279 Å, 74.11°, rel. 25
d = 2.257 Å, 39.95°, rel. 21

Atomic structure:
Lattice parameters (Å, degrees): 8.291 8.291 8.291 109.47 109.47 109.47
Element x y z (fractional)
1 Nd 0.000 0.000 0.000
2 Zn 0.000 0.000 0.500
3 Zn 0.000 0.500 0.000
4 Zn 0.000 0.500 0.500
5 Zn 0.500 0.000 0.000
6 Zn 0.500 0.000 0.500
7 Zn 0.500 0.500 0.000
8 Zn 0.500 0.500 0.500
9 Au 0.126 0.283 0.842
10 Au 0.158 0.441 0.283
11 Au 0.158 0.874 0.717
12 Au 0.283 0.158 0.441
13 Au 0.283 0.842 0.126
14 Au 0.441 0.283 0.158
15 Au 0.559 0.717 0.842
16 Au 0.717 0.158 0.874
17 Au 0.717 0.842 0.559
18 Au 0.842 0.126 0.283
19 Au 0.842 0.559 0.717
20 Au 0.874 0.717 0.158

---

8.
Structure and theoretical X-ray powder pattern of NdZn2Au9 (the PBE geometry in Alexandria; Cu Kα X-rays).

Most intense lines, 2θ from 15° to 90°, most intense first:
d = 2.535 Å, 35.42°, rel. 100
d = 2.161 Å, 41.80°, rel. 74
d = 1.463 Å, 63.59°, rel. 21
d = 1.318 Å, 71.60°, rel. 14
d = 2.341 Å, 38.45°, rel. 13
d = 1.267 Å, 74.98°, rel. 11
d = 2.069 Å, 43.74°, rel. 10
d = 1.133 Å, 85.77°, rel. 9
d = 2.021 Å, 44.86°, rel. 9
d = 4.139 Å, 21.47°, rel. 8
d = 2.223 Å, 40.58°, rel. 8
d = 1.379 Å, 67.99°, rel. 8

Atomic structure:
Lattice parameters (Å, degrees): 8.777 8.777 8.777 99.63 99.63 131.72
Element x y z (fractional)
1 Nd 0.375 0.625 0.750
2 Nd 0.625 0.375 0.250
3 Zn 0.000 0.000 0.000
4 Zn 0.000 0.000 0.500
5 Zn 0.000 0.500 0.000
6 Zn 0.500 0.000 0.500
7 Au 0.117 0.552 0.322
8 Au 0.117 0.795 0.565
9 Au 0.125 0.875 0.250
10 Au 0.205 0.270 0.322
11 Au 0.205 0.883 0.935
12 Au 0.270 0.205 0.822
13 Au 0.270 0.448 0.065
14 Au 0.448 0.270 0.565
15 Au 0.448 0.883 0.178
16 Au 0.552 0.117 0.822
17 Au 0.552 0.730 0.435
18 Au 0.730 0.552 0.935
19 Au 0.730 0.795 0.178
20 Au 0.795 0.117 0.065
21 Au 0.795 0.730 0.678
22 Au 0.875 0.125 0.750
23 Au 0.883 0.205 0.435
24 Au 0.883 0.448 0.678

---

What is the formula in the seventh record?
NdZn7Au12

---

Number 5 is which compound?
Nd3ZnAu2